[1]
Structure and computed XRD peak list of Pa6Si2C (a cell relaxed with PBE; Cu Kα (λ = 1.5418 Å)).
Lines closer than 0.1° are merged.

Structure:
Cell lengths 6.5421, 6.5421, 10.4123 Å; angles 90.00, 90.00, 90.00 degrees
Fractional coordinates of all 18 atoms:
Pa 0.2028 0.2028 0.1578
Pa 0.2028 0.2028 0.8422
Pa 0.2456 0.2456 0.5000
Pa 0.2544 0.7456 0.0000
Pa 0.2972 0.7028 0.3422
Pa 0.2972 0.7028 0.6578
Pa 0.7028 0.2972 0.3422
Pa 0.7028 0.2972 0.6578
Pa 0.7456 0.2544 0.0000
Pa 0.7544 0.7544 0.5000
Pa 0.7972 0.7972 0.1578
Pa 0.7972 0.7972 0.8422
Si 0.0000 0.0000 0.3499
Si 0.0000 0.0000 0.6501
Si 0.5000 0.5000 0.1501
Si 0.5000 0.5000 0.8499
C 0.0000 0.0000 0.0000
C 0.5000 0.5000 0.5000

Largest 10 diffraction maxima, low angle first, 15° ≤ 2θ ≤ 90°:
2θ (°), intensity
27.3, 598
30.6, 181
32.2, 1000
38.9, 242
49.4, 120
51.4, 333
57.3, 76
58.1, 86
60.4, 131
67.5, 91

=====

[2]
Structure and computed XRD peak list of ZrSc2Al2 (a cell relaxed with PBE; Cu Kα (λ = 1.5418 Å)).
Lines closer than 0.1° are merged.

Structure:
Cell lengths 11.6218, 11.6218, 4.3803 Å; angles 90.00, 90.00, 160.02 degrees
Fractional coordinates of all 10 atoms:
Zr 0.1435 0.8565 0.7500
Zr 0.8565 0.1435 0.2500
Sc 0.0477 0.9523 0.2500
Sc 0.2450 0.7550 0.2500
Sc 0.7550 0.2450 0.7500
Sc 0.9523 0.0477 0.7500
Al 0.3513 0.6487 0.7500
Al 0.4524 0.5476 0.2500
Al 0.5476 0.4524 0.7500
Al 0.6487 0.3513 0.2500

Largest 10 diffraction maxima, low angle first, 15° ≤ 2θ ≤ 90°:
2θ (°), intensity
22.4, 115
36.1, 1000
39.4, 181
41.2, 173
45.0, 133
58.3, 107
61.3, 111
69.2, 111
71.8, 120
77.1, 97

=====

[3]
Structure and computed XRD peak list of CeSiS3 (a cell relaxed with PBE; Cu Kα (λ = 1.5418 Å)).
Lines closer than 0.1° are merged.

Structure:
Cell lengths 7.7775, 6.1972, 8.8425 Å; angles 90.00, 90.00, 90.00 degrees
Fractional coordinates of all 20 atoms:
Ce 0.1094 0.0502 0.0000
Ce 0.3906 0.5502 0.5000
Ce 0.6094 0.4498 0.0000
Ce 0.8906 0.9498 0.5000
Si 0.0717 0.5225 0.2316
Si 0.4283 0.0225 0.7316
Si 0.5717 0.9775 0.2316
Si 0.9283 0.4775 0.7316
S 0.0270 0.4096 0.4863
S 0.1708 0.8386 0.2950
S 0.1876 0.8415 0.6970
S 0.3124 0.3415 0.1970
S 0.3292 0.3386 0.7950
S 0.4730 0.9096 0.9863
S 0.5270 0.0904 0.4863
S 0.6708 0.6614 0.2950
S 0.6876 0.6585 0.6970
S 0.8124 0.1585 0.1970
S 0.8292 0.1614 0.7950
S 0.9730 0.5904 0.9863

Largest 10 diffraction maxima, low angle first, 15° ≤ 2θ ≤ 90°:
2θ (°), intensity
18.3, 415
20.9, 1000
25.0, 697
27.3, 635
32.7, 546
35.7, 585
38.3, 438
38.5, 455
39.0, 562
65.3, 368